# Pa2Ni3C
Computed powder diffractogram, λ = 1.5418 Å (Cu Kα). Input: the PBE geometry in Alexandria.
Lines closer than 0.1° are merged.

Cell and atoms:
Cell lengths 7.8536, 7.5831, 5.1783 Å; angles 73.25, 67.60, 39.15 degrees
Sites, in units of the cell vectors:
Pa 0.2405 0.7595 0.7595
Pa 0.2500 0.2500 0.2500
Pa 0.7500 0.7500 0.7500
Pa 0.7595 0.2405 0.2405
Ni 0.1806 0.1806 0.8194
Ni 0.1819 0.6365 0.3635
Ni 0.3635 0.8181 0.1819
Ni 0.6365 0.1819 0.8181
Ni 0.8181 0.3635 0.6365
Ni 0.8194 0.8194 0.1806
C 0.3340 0.3340 0.6660
C 0.6660 0.6660 0.3340

Most intense lines, 2θ from 10° to 90°, by angle:
- 2θ 26.2, d 3.404, I = 51
- 2θ 37.6, d 2.393, I = 100
- 2θ 46.1, d 1.968, I = 13
- 2θ 46.2, d 1.963, I = 25
- 2θ 54.6, d 1.682, I = 8
- 2θ 61.0, d 1.520, I = 16
- 2θ 61.1, d 1.517, I = 8
- 2θ 61.5, d 1.508, I = 10
- 2θ 74.2, d 1.278, I = 18
- 2θ 79.9, d 1.201, I = 15

=====

# BaP2WS8
Computed powder diffractogram, λ = 1.5418 Å (Cu Kα). Input: the PBE geometry in Alexandria.
Lines closer than 0.1° are merged.

Cell and atoms:
Cell lengths 5.9766, 5.9766, 8.7439 Å; angles 90.00, 90.00, 120.00 degrees
Sites, in units of the cell vectors:
Ba 0.0000 0.0000 0.0000
P 0.3333 0.6667 0.7304
P 0.6667 0.3333 0.2696
W 0.0000 0.0000 0.5000
S 0.0055 0.6744 0.3361
S 0.3256 0.3310 0.3361
S 0.3310 0.0055 0.6639
S 0.3333 0.6667 0.9597
S 0.6667 0.3333 0.0403
S 0.6690 0.9945 0.3361
S 0.6744 0.6690 0.6639
S 0.9945 0.3256 0.6639

Most intense lines, 2θ from 10° to 90°, by angle:
- 2θ 17.1, d 5.176, I = 89
- 2θ 19.9, d 4.454, I = 24
- 2θ 26.7, d 3.340, I = 100
- 2θ 29.9, d 2.988, I = 45
- 2θ 36.4, d 2.467, I = 68
- 2θ 40.5, d 2.227, I = 34
- 2θ 45.0, d 2.014, I = 19
- 2θ 51.2, d 1.786, I = 34
- 2θ 51.8, d 1.764, I = 36
- 2θ 53.1, d 1.725, I = 29